For K3VO4, a DFT-relaxed cell (PBE+U, Alexandria) gives the theoretical powder diffractogram in this record (Cu Kα X-rays).
Neutral-atom scattering factors, no anomalous dispersion.

Structure:
a = 8.4443 Å, b = 8.4443 Å, c = 8.4443 Å
α = 90.00°, β = 90.00°, γ = 90.00°
Fractional coordinates of all 32 atoms:
K (0.0101, 0.4899, 0.5101)
K (0.0335, 0.5335, 0.9665)
K (0.2221, 0.2221, 0.2221)
K (0.2779, 0.7779, 0.7221)
K (0.4665, 0.4665, 0.4665)
K (0.4899, 0.5101, 0.0101)
K (0.5101, 0.0101, 0.4899)
K (0.5335, 0.9665, 0.0335)
K (0.7221, 0.2779, 0.7779)
K (0.7779, 0.7221, 0.2779)
K (0.9665, 0.0335, 0.5335)
K (0.9899, 0.9899, 0.9899)
V (0.2365, 0.2635, 0.7365)
V (0.2635, 0.7365, 0.2365)
V (0.7365, 0.2365, 0.2635)
V (0.7635, 0.7635, 0.7635)
O (0.0365, 0.2434, 0.7894)
O (0.1453, 0.8547, 0.3547)
O (0.2106, 0.5365, 0.2566)
O (0.2434, 0.7894, 0.0365)
O (0.2566, 0.2106, 0.5365)
O (0.2894, 0.4635, 0.7566)
O (0.3547, 0.1453, 0.8547)
O (0.4635, 0.7566, 0.2894)
O (0.5365, 0.2566, 0.2106)
O (0.6453, 0.6453, 0.6453)
O (0.7106, 0.9635, 0.7434)
O (0.7434, 0.7106, 0.9635)
O (0.7566, 0.2894, 0.4635)
O (0.7894, 0.0365, 0.2434)
O (0.8547, 0.3547, 0.1453)
O (0.9635, 0.7434, 0.7106)

Peak list (10 most intense, 2θ from 10° to 80°, by intensity)
2θ 29.9, intensity 100.0, hkl 2 2 0; 2θ 53.1, intensity 24.0, hkl 4 2 2; 2θ 42.8, intensity 21.8, hkl 4 0 0; 2θ 62.2, intensity 11.3, hkl 4 4 0; 2θ 39.9, intensity 11.3, hkl 3 1 2; 2θ 33.6, intensity 11.2, hkl 3 0 1; 2θ 18.2, intensity 10.5, hkl 1 1 1; 2θ 70.5, intensity 6.9, hkl 6 2 0; 2θ 31.8, intensity 6.1, hkl 2 2 1; 2θ 21.0, intensity 5.9, hkl 2 0 0